For Cs3FeF6, a crystal structure in Alexandria, relaxed with PBE+U gives the simulated X-ray powder pattern in this record (λ = 1.5418 Å (Cu Kα)).
Peak positions follow from Bragg's law for the DFT cell and can differ from measured ones.

Cell and atoms:
a b c (Å): 6.7288 6.7288 10.0648
angles (deg): 90.00 90.00 90.00
Space group I4/mmm (No. 139)
Asymmetric unit:
Cs  0.0000  0.0000  0.0000 x2
Cs  0.0000  0.5000  0.2500 x4
Fe  0.0000  0.0000  0.5000 x2
F  0.0000  0.0000  0.2965 x4
F  0.0000  0.2887  0.5000 x8

Top 10 peaks for 2θ from 10° to 80°, by intensity:
(1 1 2), 25.77°, d 3.457, intensity 100; (2 0 0), 26.49°, d 3.364, intensity 73; (3 1 2), 46.33°, d 1.960, intensity 48; (2 0 4), 44.99°, d 2.015, intensity 30; (2 2 0), 37.82°, d 2.379, intensity 20; (0 0 4), 35.68°, d 2.516, intensity 20; (3 1 6), 71.64°, d 1.317, intensity 15; (2 2 4), 52.97°, d 1.729, intensity 14; (4 2 4), 73.31°, d 1.291, intensity 13; (1 1 6), 58.33°, d 1.582, intensity 12